Record 1
CsNpI3: calculated powder XRD pattern (Cu Ka), based on DFT lattice parameters and positions (PBE).
Kinematic intensities with the Lorentz-polarization factor, no thermal factor.

Cell and atoms:
```
CsNpI3
1.0
8.9213 0.0000 0.0000
-4.4607 7.7261 0.0000
0.0000 0.0000 6.7573
Cs Np I
2 2 6
direct
0.3333 0.6667 0.2500 Cs
0.6667 0.3333 0.7500 Cs
0.0000 0.0000 0.0000 Np
0.0000 0.0000 0.5000 Np
0.1755 0.3510 0.7500 I
0.1755 0.8245 0.7500 I
0.3510 0.1755 0.2500 I
0.6490 0.8245 0.7500 I
0.8245 0.1755 0.2500 I
0.8245 0.6490 0.2500 I
```

Peak list (10 most intense, 10 to 90 degrees two-theta, sorted by position)
d_spacing	I_rel
7.726	72
4.461	29
3.354	100
3.096	28
2.920	28
2.543	58
2.230	45
1.946	21
1.857	17
1.347	18

***

Record 2
Cs2NpI7: calculated powder XRD pattern (Cu Ka), based on DFT lattice parameters and positions (PBE).
Kinematic intensities with the Lorentz-polarization factor, no thermal factor.

Cell and atoms:
```
Cs2NpI7
1.0
10.1261 -4.4605 0.0000
10.1261 4.4605 0.0000
-9.5538 0.0000 11.4002
Cs Np I
4 2 14
direct
0.0506 0.6811 0.9447 Cs
0.3189 0.9494 0.5553 Cs
0.6811 0.0506 0.4447 Cs
0.9494 0.3189 0.0553 Cs
0.2573 0.7427 0.7500 Np
0.7427 0.2573 0.2500 Np
0.1040 0.1168 0.7787 I
0.1168 0.1040 0.2787 I
0.1802 0.6509 0.4948 I
0.2380 0.4279 0.6839 I
0.3491 0.8198 0.0052 I
0.3861 0.6139 0.2500 I
0.4279 0.2380 0.1839 I
0.5721 0.7620 0.8161 I
0.6139 0.3861 0.7500 I
0.6509 0.1802 0.9948 I
0.7620 0.5721 0.3161 I
0.8198 0.3491 0.5052 I
0.8832 0.8960 0.7213 I
0.8960 0.8832 0.2213 I
```

Peak list (10 most intense, 10 to 90 degrees two-theta, sorted by position)
d_spacing	I_rel
7.761	46
7.636	43
3.873	24
3.503	100
3.347	81
3.183	30
2.849	25
2.738	25
2.709	38
2.155	26

***

Record 3
CsNpI4: calculated powder XRD pattern (Cu Ka), based on DFT lattice parameters and positions (PBE).
Kinematic intensities with the Lorentz-polarization factor, no thermal factor.

Cell and atoms:
```
CsNpI4
1.0
5.7276 -8.6016 0.0000
5.7276 8.6016 0.0000
-4.3121 0.0000 6.7099
Cs Np I
2 2 8
direct
0.1466 0.8534 0.7500 Cs
0.8534 0.1466 0.2500 Cs
0.4244 0.5756 0.2500 Np
0.5756 0.4244 0.7500 Np
0.1397 0.5432 0.3105 I
0.2572 0.3502 0.7893 I
0.3502 0.2572 0.2893 I
0.4568 0.8603 0.1895 I
0.5432 0.1397 0.8105 I
0.6498 0.7428 0.7107 I
0.7428 0.6498 0.2107 I
0.8603 0.4568 0.6895 I
```

Peak list (10 most intense, 10 to 90 degrees two-theta, sorted by position)
d_spacing	I_rel
8.408	100
5.291	58
4.696	52
3.412	60
3.355	60
3.172	38
2.802	24
2.555	29
2.381	29
2.255	26